This entry pairs a crystal structure of K2H5Os with its calculated powder diffractogram. Radiation: Cu Kα (λ = 1.5418 Å). Structure: a DFT-relaxed cell (GGA-PBE, Alexandria).

Atomic structure:
```
16
Lattice="7.644 0.000 0.000 0.000 8.298 0.000 -3.728 0.000 4.270" Properties=species:S:1:pos:R:3 pbc="T T T"
K 0.000 1.976 0.000
K 0.000 6.322 0.000
K 3.822 2.173 0.000
K 3.822 6.125 0.000
H -0.247 4.149 1.622
H -2.026 4.149 3.936
H 2.041 0.000 0.517
H 1.757 1.640 1.935
H 1.757 6.658 1.935
H 3.575 0.000 1.622
H 1.795 0.000 3.936
H 5.863 4.149 0.517
H 5.578 2.509 1.935
H 5.578 5.789 1.935
Os -1.730 4.149 2.213
Os 2.091 0.000 2.213
```

Largest 10 diffraction maxima, by angle, 10° ≤ 2θ ≤ 90°:
two_theta  d [Å]  Rel. int.  h k l
18.76  4.731  93  1 1 0
19.04  4.661  100  1 1 -1
30.03  2.976  61  0 2 1
31.06  2.879  28  2 0 0
31.81  2.813  80  2 0 -2
35.10  2.557  21  1 1 1
35.58  2.523  18  1 1 -2
36.02  2.493  23  1 3 0
38.66  2.329  19  3 1 -2
47.56  1.912  18  4 0 -2